AcAu4: simulated PXRD pattern (Cu Kα, 1.54184 Å), based on a cell relaxed with PBE.
Peak positions follow from Bragg's law for the DFT cell and can differ from measured ones.

Structural model:
Cell: 5.1873 5.3112 5.3497 Å, 78.29 61.18 65.00°
Sites, in units of the cell vectors:
Ac  0.0000  0.0000  0.0000
Au  0.2220  0.2934  0.3051
Au  0.4754  0.7061  0.3043
Au  0.5246  0.2939  0.6957
Au  0.7780  0.7066  0.6949

Top 10 peaks for 2θ = 10–90°, sorted by position:
- 2θ 26.5, I 28.5, (0 1 1)
- 2θ 33.2, I 73.1, (1 -1 0)
- 2θ 34.5, I 98.0, (1 0 2)
- 2θ 34.7, I 82.4, (2 1 1)
- 2θ 35.1, I 29.7, (1 1 -1)
- 2θ 35.3, I 100.0, (1 2 0)
- 2θ 42.2, I 19.9, (0 2 -1)
- 2θ 43.2, I 18.8, (1 -1 2)
- 2θ 54.7, I 26.0, (0 2 2)
- 2θ 57.4, I 18.8, (0 3 0)